[1]
Starting from DFT lattice parameters and positions (PBE), the powder diffraction line list of Mg2CdHgS4 was computed for CuKα.
Intensities are scaled so that the largest is 100.

Top 10 peaks for 2θ = 15–90°, in order of falling intensity:
hkl 2 0 2, 2θ = 26.51°, 3.362 Å, rel. 100; hkl 2 2 4, 2θ = 44.06°, 2.055 Å, rel. 40; hkl 2 0 0, 2θ = 21.51°, 4.131 Å, rel. 37; hkl 0 0 2, 2θ = 15.32°, 5.785 Å, rel. 35; hkl 4 2 2, 2θ = 51.95°, 1.760 Å, rel. 30; hkl 2 2 2, 2θ = 34.39°, 2.608 Å, rel. 26; hkl 4 0 0, 2θ = 43.83°, 2.066 Å, rel. 21; hkl 2 0 4, 2θ = 37.97°, 2.369 Å, rel. 18; hkl 0 2 6, 2θ = 52.36°, 1.747 Å, rel. 15; hkl 6 2 4, 2θ = 80.70°, 1.191 Å, rel. 13

Structure:
```
data_Mg2CdHgS4
_chemical_formula_sum 'Mg8 Cd4 Hg4 S16'
_space_group_name_H-M_alt 'F m m 2'
_space_group_IT_number 42
_space_group_name_Hall 'F 2 -2'
_cell_length_a 8.263
_cell_length_b 8.263
_cell_length_c 11.570
_cell_angle_alpha 90.00
_cell_angle_beta 90.00
_cell_angle_gamma 90.00
loop_
_atom_site_label
_atom_site_type_symbol
_atom_site_fract_x
_atom_site_fract_y
_atom_site_fract_z
_atom_site_occupancy
Mg1 Mg 0.250 0.250 0.000 1
Cd1 Cd 0.000 0.000 0.250 1
Hg1 Hg 0.000 0.000 0.750 1
S1 S 0.000 0.247 0.117 1
S2 S 0.248 0.000 0.383 1
```

***

[2]
Starting from DFT lattice parameters and positions (PBE), the powder diffraction line list of MgCd2HgSe4 was computed for CuKα.
Intensities are scaled so that the largest is 100.

Top 10 peaks for 2θ = 15–90°, in order of falling intensity:
hkl 0 2 2, 2θ = 25.04°, 3.557 Å, rel. 100; hkl 2 2 4, 2θ = 41.46°, 2.178 Å, rel. 75; hkl 4 2 2, 2θ = 49.09°, 1.856 Å, rel. 31; hkl 1 1 1, 2θ = 16.09°, 5.507 Å, rel. 22; hkl 6 2 4, 2θ = 75.67°, 1.257 Å, rel. 16; hkl 2 0 6, 2θ = 48.96°, 1.861 Å, rel. 16; hkl 2 4 6, 2θ = 66.08°, 1.414 Å, rel. 13; hkl 3 1 1, 2θ = 33.36°, 2.686 Å, rel. 11; hkl 1 1 3, 2θ = 26.04°, 3.421 Å, rel. 10; hkl 1 1 5, 2θ = 39.36°, 2.289 Å, rel. 9

Structure:
```
data_MgCd2HgSe4
_chemical_formula_sum 'Mg4 Cd8 Hg4 Se16'
_space_group_name_H-M_alt 'F m m 2'
_space_group_IT_number 42
_space_group_name_Hall 'F 2 -2'
_cell_length_a 8.702
_cell_length_b 8.702
_cell_length_c 12.349
_cell_angle_alpha 90.00
_cell_angle_beta 90.00
_cell_angle_gamma 90.00
loop_
_atom_site_label
_atom_site_type_symbol
_atom_site_fract_x
_atom_site_fract_y
_atom_site_fract_z
_atom_site_occupancy
Mg1 Mg 0.000 0.000 0.000 1
Cd1 Cd 0.250 0.250 0.250 1
Hg1 Hg 0.000 0.000 0.501 1
Se1 Se 0.000 0.242 0.877 1
Se2 Se 0.242 0.000 0.124 1
```